This entry pairs a crystal structure of Ho4Al24Pd9 with its theoretical powder diffraction line list. Radiation: Cu Kα. Structure: a structure optimized by DFT (GGA-PBE).
Lines closer than 0.1° are merged.

Peak list (12 most intense, 5° ≤ 2θ ≤ 70°, sorted by position)
2θ (°)	I/Imax
23.70	55
23.93	32
28.54	100
28.80	50
29.90	39
30.04	78
34.44	45
34.79	56
38.26	65
41.35	73
41.64	93
41.81	71

Structural model:
```
Ho4Al24Pd9
1.0
7.478 0.000 0.000
3.710 6.551 0.000
2.441 -0.029 13.020
Ho Al Pd
4 24 9
direct
0.062 0.331 0.309
0.268 0.998 0.691
0.732 0.002 0.309
0.938 0.669 0.691
0.019 0.666 0.445
0.119 0.665 0.171
0.146 0.333 0.058
0.186 0.001 0.941
0.193 0.869 0.315
0.231 0.660 0.830
0.317 0.667 0.547
0.353 0.000 0.445
0.397 0.337 0.683
0.397 0.458 0.316
0.443 0.994 0.171
0.479 0.667 0.060
0.521 0.333 0.940
0.557 0.006 0.829
0.603 0.542 0.684
0.603 0.663 0.317
0.647 0.000 0.555
0.683 0.333 0.453
0.769 0.340 0.170
0.807 0.131 0.685
0.814 0.999 0.059
0.854 0.667 0.942
0.881 0.335 0.829
0.981 0.334 0.555
0.000 0.000 0.500
0.113 0.007 0.138
0.206 0.333 0.861
0.328 0.329 0.500
0.453 0.326 0.137
0.547 0.674 0.863
0.672 0.671 0.500
0.794 0.667 0.139
0.887 0.993 0.862
```



This entry pairs a crystal structure of PmHoAl2 with its theoretical powder diffraction line list. Radiation: Cu Kα. Structure: a structure optimized by DFT (GGA-PBE).
Lines closer than 0.1° are merged.

Peak list (6 most intense, 5° ≤ 2θ ≤ 70°, sorted by position)
2θ (°)	I/Imax
24.48	61
34.90	100
43.09	18
50.18	18
56.60	25
62.58	37

Structural model:
```
PmHoAl2
1.0
0.000 3.636 3.636
3.636 0.000 3.636
3.636 3.636 0.000
Pm Ho Al
1 1 2
direct
0.000 0.000 0.000
0.500 0.500 0.500
0.250 0.250 0.250
0.750 0.750 0.750
```



This entry pairs a crystal structure of Ho4Al24Pt9 with its theoretical powder diffraction line list. Radiation: Cu Kα. Structure: a structure optimized by DFT (GGA-PBE).
Lines closer than 0.1° are merged.

Peak list (12 most intense, 5° ≤ 2θ ≤ 70°, sorted by position)
2θ (°)	I/Imax
20.52	29
23.68	30
23.81	59
28.60	62
28.75	31
30.02	100
34.53	23
34.79	24
38.35	25
41.46	38
41.57	37
41.75	49

Structural model:
```
Ho4Al24Pt9
1.0
7.499 0.000 0.000
3.717 6.534 0.000
2.463 -0.002 12.987
Ho Al Pt
4 24 9
direct
0.062 0.331 0.308
0.267 0.998 0.693
0.733 0.002 0.307
0.938 0.669 0.692
0.019 0.666 0.444
0.118 0.665 0.171
0.146 0.333 0.058
0.186 0.001 0.941
0.193 0.868 0.316
0.230 0.660 0.830
0.317 0.668 0.547
0.353 0.001 0.445
0.397 0.459 0.316
0.398 0.337 0.683
0.444 0.994 0.171
0.479 0.668 0.061
0.521 0.332 0.939
0.556 0.006 0.829
0.602 0.663 0.317
0.603 0.541 0.684
0.647 0.999 0.555
0.683 0.332 0.453
0.770 0.340 0.170
0.807 0.132 0.684
0.814 0.999 0.059
0.854 0.667 0.942
0.882 0.335 0.829
0.981 0.334 0.556
0.000 0.000 0.500
0.113 0.007 0.139
0.206 0.333 0.861
0.328 0.329 0.500
0.454 0.325 0.137
0.546 0.675 0.863
0.672 0.671 0.500
0.794 0.667 0.139
0.887 0.993 0.861
```



This entry pairs a crystal structure of HoAlPt with its theoretical powder diffraction line list. Radiation: Cu Kα. Structure: a structure optimized by DFT (GGA-PBE).
Lines closer than 0.1° are merged.

Peak list (12 most intense, 5° ≤ 2θ ≤ 70°, sorted by position)
2θ (°)	I/Imax
26.43	33
26.59	53
33.42	44
35.04	100
37.22	13
40.48	24
40.82	35
42.65	20
46.02	21
49.29	13
53.33	15
63.19	17

Structural model:
```
HoAlPt
1.0
6.875 0.000 0.000
0.000 4.421 0.000
0.000 0.000 7.741
Ho Al Pt
4 4 4
direct
0.032 0.250 0.180
0.468 0.750 0.680
0.532 0.250 0.320
0.968 0.750 0.820
0.145 0.250 0.563
0.355 0.750 0.063
0.645 0.250 0.937
0.855 0.750 0.437
0.226 0.750 0.382
0.274 0.250 0.882
0.726 0.750 0.118
0.774 0.250 0.618
```



This entry pairs a crystal structure of HoAl10Ru2 with its theoretical powder diffraction line list. Radiation: Cu Kα. Structure: a structure optimized by DFT (GGA-PBE).
Lines closer than 0.1° are merged.

Peak list (12 most intense, 5° ≤ 2θ ≤ 70°, sorted by position)
2θ (°)	I/Imax
16.22	31
17.29	36
26.13	30
27.63	56
27.93	34
34.20	33
36.57	28
39.40	32
39.55	34
39.67	53
40.34	100
57.71	40

Structural model:
```
HoAl10Ru2
1.0
4.557 -5.129 0.000
4.557 5.129 0.000
0.000 0.000 9.149
Ho Al Ru
2 20 4
direct
0.127 0.873 0.750
0.873 0.127 0.250
0.139 0.414 0.750
0.156 0.844 0.099
0.156 0.844 0.401
0.222 0.480 0.250
0.227 0.227 0.000
0.227 0.227 0.500
0.376 0.624 0.550
0.376 0.624 0.950
0.414 0.139 0.250
0.480 0.222 0.750
0.520 0.778 0.250
0.586 0.861 0.750
0.624 0.376 0.050
0.624 0.376 0.450
0.773 0.773 0.000
0.773 0.773 0.500
0.778 0.520 0.750
0.844 0.156 0.599
0.844 0.156 0.901
0.861 0.586 0.250
0.000 0.500 0.000
0.000 0.500 0.500
0.500 0.000 0.000
0.500 0.000 0.500
```



This entry pairs a crystal structure of HoScAl2 with its theoretical powder diffraction line list. Radiation: Cu Kα. Structure: a structure optimized by DFT (GGA-PBE).
Lines closer than 0.1° are merged.

Peak list (9 most intense, 5° ≤ 2θ ≤ 70°, sorted by position)
2θ (°)	I/Imax
22.14	47
25.62	43
36.55	100
43.15	26
45.17	13
52.65	17
57.80	12
59.45	16
65.79	35

Structural model:
```
HoScAl2
1.0
0.000 3.477 3.477
3.477 0.000 3.477
3.477 3.477 0.000
Ho Sc Al
1 1 2
direct
0.000 0.000 0.000
0.500 0.500 0.500
0.250 0.250 0.250
0.750 0.750 0.750
```



This entry pairs a crystal structure of Ho12Al7Si with its theoretical powder diffraction line list. Radiation: Cu Kα. Structure: a structure optimized by DFT (GGA-PBE).
Lines closer than 0.1° are merged.

Peak list (12 most intense, 5° ≤ 2θ ≤ 70°, sorted by position)
2θ (°)	I/Imax
23.44	41
24.23	28
24.56	42
28.32	23
32.12	24
32.32	98
32.71	38
32.97	48
33.97	100
36.51	28
53.30	44
55.59	25

Structural model:
```
Ho12Al7Si
1.0
-5.808 5.808 7.589
5.808 -5.808 7.589
5.808 5.808 -7.589
Ho Al Si
24 14 2
direct
0.064 0.928 0.265
0.072 0.337 0.136
0.147 0.647 0.500
0.163 0.428 0.864
0.170 0.330 0.500
0.201 0.936 0.864
0.299 0.163 0.735
0.330 0.830 0.160
0.337 0.201 0.265
0.353 0.853 0.500
0.428 0.564 0.265
0.436 0.701 0.864
0.564 0.299 0.136
0.572 0.436 0.735
0.647 0.147 0.500
0.663 0.799 0.735
0.670 0.170 0.840
0.701 0.837 0.265
0.799 0.064 0.136
0.830 0.670 0.500
0.837 0.572 0.136
0.853 0.353 0.500
0.928 0.663 0.864
0.936 0.072 0.735
0.000 0.000 0.000
0.025 0.882 0.500
0.118 0.618 0.144
0.118 0.618 0.736
0.382 0.118 0.500
0.382 0.525 0.500
0.475 0.975 0.856
0.500 0.500 0.000
0.525 0.025 0.144
0.618 0.475 0.500
0.618 0.882 0.500
0.882 0.382 0.264
0.882 0.382 0.856
0.975 0.118 0.500
0.250 0.250 0.000
0.750 0.750 0.000
```



This entry pairs a crystal structure of HoAlSi with its theoretical powder diffraction line list. Radiation: Cu Kα. Structure: a structure optimized by DFT (GGA-PBE).
Lines closer than 0.1° are merged.

Peak list (12 most intense, 5° ≤ 2θ ≤ 70°, sorted by position)
2θ (°)	I/Imax
17.32	33
23.39	26
28.60	100
31.51	29
34.50	53
36.18	30
38.07	30
38.58	39
39.88	25
45.20	19
47.41	21
60.88	31

Structural model:
```
HoAlSi
1.0
2.006 -5.120 0.000
2.006 5.120 0.000
0.000 0.000 5.679
Ho Al Si
2 2 2
direct
0.194 0.806 0.750
0.806 0.194 0.250
0.500 0.500 0.000
0.500 0.500 0.500
0.100 0.900 0.250
0.900 0.100 0.750
```



This entry pairs a crystal structure of HoAl2Si2 with its theoretical powder diffraction line list. Radiation: Cu Kα. Structure: a structure optimized by DFT (GGA-PBE).
Lines closer than 0.1° are merged.

Peak list (12 most intense, 5° ≤ 2θ ≤ 70°, sorted by position)
2θ (°)	I/Imax
13.61	41
24.38	23
28.03	100
37.01	59
41.64	9
42.91	36
45.22	13
48.84	15
52.03	18
57.93	16
61.33	16
69.66	15

Structural model:
```
HoAl2Si2
1.0
4.215 0.000 0.000
-2.108 3.651 0.000
0.000 0.000 6.507
Ho Al Si
1 2 2
direct
0.000 0.000 0.000
0.333 0.667 0.645
0.667 0.333 0.355
0.333 0.667 0.258
0.667 0.333 0.742
```